1.
Calculated powder X-ray diffraction pattern
Compound: KSrEuFeO6
Radiation: CuKα
Structure: a PBE+U-relaxed structure
Kinematic intensities with the Lorentz-polarization factor, no thermal factor.

abc: 5.8797 5.8797 5.8797
angles: 60.00 60.00 60.00
Fractional coordinates of all 10 atoms:
K1 0.0000 0.0000 0.0000
Sr1 0.5000 0.5000 0.5000
Eu1 0.7500 0.7500 0.7500
Fe1 0.2500 0.2500 0.2500
O1 0.0189 0.0189 0.4811
O2 0.0189 0.4811 0.0189
O3 0.0189 0.4811 0.4811
O4 0.4811 0.0189 0.0189
O5 0.4811 0.0189 0.4811
O6 0.4811 0.4811 0.0189

Peak list (10 most intense, 2θ from 10° to 90°, in order of falling intensity)
- 2.940 Å, rel. 100.0
- 1.697 Å, rel. 38.4
- 2.079 Å, rel. 35.6
- 1.470 Å, rel. 20.9
- 1.111 Å, rel. 20.7
- 4.801 Å, rel. 18.8
- 4.158 Å, rel. 17.6
- 1.315 Å, rel. 17.3
- 2.507 Å, rel. 15.9
- 1.908 Å, rel. 9.0



2.
Calculated powder X-ray diffraction pattern
Compound: KEuZrFeO6
Radiation: CuKα
Structure: a PBE+U-relaxed structure
Kinematic intensities with the Lorentz-polarization factor, no thermal factor.

abc: 5.6644 5.6644 5.6644
angles: 60.00 60.00 60.00
Fractional coordinates of all 10 atoms:
K1 0.0000 0.0000 0.0000
Eu1 0.5000 0.5000 0.5000
Zr1 0.7500 0.7500 0.7500
Fe1 0.2500 0.2500 0.2500
O1 0.0087 0.0087 0.4913
O2 0.0087 0.4913 0.0087
O3 0.0087 0.4913 0.4913
O4 0.4913 0.0087 0.0087
O5 0.4913 0.0087 0.4913
O6 0.4913 0.4913 0.0087

Peak list (10 most intense, 2θ from 10° to 90°, in order of falling intensity)
- 2.832 Å, rel. 100.0
- 1.635 Å, rel. 37.9
- 2.003 Å, rel. 35.2
- 4.625 Å, rel. 29.1
- 1.416 Å, rel. 20.4
- 2.415 Å, rel. 18.3
- 1.267 Å, rel. 16.3
- 1.838 Å, rel. 8.6
- 2.312 Å, rel. 7.3
- 1.156 Å, rel. 6.7



3.
Calculated powder X-ray diffraction pattern
Compound: Eu2MgFe2O5
Radiation: CuKα
Structure: a PBE+U-relaxed structure
Kinematic intensities with the Lorentz-polarization factor, no thermal factor.

abc: 3.7461 5.8648 7.0328
angles: 89.93 89.95 89.96
Fractional coordinates of all 10 atoms:
Eu1 0.0000 0.0000 0.0000
Eu2 0.0018 0.9997 0.5002
Mg1 0.0020 0.4999 0.0010
Fe1 0.5014 0.5015 0.3032
Fe2 0.5022 0.4983 0.6985
O1 0.0014 0.4997 0.2880
O2 0.0022 0.5002 0.7140
O3 0.5018 0.0005 0.7472
O4 0.5020 0.4992 0.0009
O5 0.5019 0.9988 0.2544

Peak list (10 most intense, 2θ from 10° to 90°, in order of falling intensity)
- 3.157 Å, rel. 100.0
- 2.932 Å, rel. 99.4
- 3.016 Å, rel. 92.2
- 2.564 Å, rel. 81.0
- 1.930 Å, rel. 69.5
- 2.349 Å, rel. 52.1
- 1.591 Å, rel. 36.2
- 5.865 Å, rel. 32.6
- 1.579 Å, rel. 28.0
- 1.873 Å, rel. 25.4



4.
Calculated powder X-ray diffraction pattern
Compound: Eu2MgFe2O5
Radiation: CuKα
Structure: a PBE+U-relaxed structure
Kinematic intensities with the Lorentz-polarization factor, no thermal factor.

abc: 4.0692 5.8193 7.0828
angles: 90.14 90.01 109.34
Fractional coordinates of all 10 atoms:
Eu1 0.0000 0.0000 0.0000
Eu2 0.3227 0.6773 0.5003
Mg1 0.3002 0.5864 0.0008
Fe1 0.6220 0.2522 0.2819
Fe2 0.6222 0.2526 0.7192
O1 0.1622 0.3368 0.2112
O2 0.1621 0.3366 0.7899
O3 0.4511 0.8956 0.1970
O4 0.4512 0.8961 0.8037
O5 0.7261 0.4753 0.5009

Peak list (10 most intense, 2θ from 10° to 90°, in order of falling intensity)
- 4.340 Å, rel. 100.0
- 3.342 Å, rel. 58.9
- 3.376 Å, rel. 51.6
- 2.976 Å, rel. 49.9
- 2.171 Å, rel. 46.7
- 2.748 Å, rel. 38.4
- 2.560 Å, rel. 37.2
- 2.695 Å, rel. 33.7
- 2.034 Å, rel. 31.4
- 2.603 Å, rel. 29.3



5.
Calculated powder X-ray diffraction pattern
Compound: Eu4MgFe4O10
Radiation: CuKα
Structure: a PBE+U-relaxed structure
Kinematic intensities with the Lorentz-polarization factor, no thermal factor.

abc: 5.4836 5.8496 8.9751
angles: 108.59 107.39 90.98
Fractional coordinates of all 19 atoms:
Eu1 0.0000 0.0000 0.0000
Eu2 0.1989 0.1574 0.4097
Eu3 0.5051 0.4636 0.0222
Eu4 0.7157 0.7166 0.4324
Mg1 0.1386 0.1092 0.7161
Fe1 0.1134 0.5869 0.2224
Fe2 0.3351 0.7167 0.7166
Fe3 0.6078 0.0809 0.2107
Fe4 0.7809 0.4265 0.7159
O1 0.0294 0.3389 0.9072
O2 0.2387 0.8105 0.5151
O3 0.3517 0.8279 0.2034
O4 0.3821 0.3519 0.2533
O5 0.4089 0.3735 0.7158
O6 0.4383 0.0111 0.9169
O7 0.8383 0.1480 0.5245
O8 0.8423 0.8167 0.1790
O9 0.8658 0.3428 0.2284
O10 0.9163 0.7504 0.7163

Peak list (10 most intense, 2θ from 10° to 90°, in order of falling intensity)
- 2.826 Å, rel. 100.0
- 2.851 Å, rel. 87.5
- 2.741 Å, rel. 67.2
- 2.924 Å, rel. 59.3
- 4.033 Å, rel. 56.0
- 2.016 Å, rel. 41.4
- 2.235 Å, rel. 38.7
- 1.983 Å, rel. 37.3
- 3.964 Å, rel. 36.8
- 8.056 Å, rel. 30.5



6.
Calculated powder X-ray diffraction pattern
Compound: NdEuMnFeO6
Radiation: CuKα
Structure: a PBE+U-relaxed structure
Kinematic intensities with the Lorentz-polarization factor, no thermal factor.

abc: 5.6707 5.6707 5.6707
angles: 60.00 60.00 60.00
Fractional coordinates of all 10 atoms:
Nd1 0.0000 0.0000 0.0000
Eu1 0.5000 0.5000 0.5000
Mn1 0.2500 0.2500 0.2500
Fe1 0.7500 0.7500 0.7500
O1 0.0015 0.0015 0.4985
O2 0.0015 0.4985 0.0015
O3 0.0015 0.4985 0.4985
O4 0.4985 0.0015 0.0015
O5 0.4985 0.0015 0.4985
O6 0.4985 0.4985 0.0015

Peak list (10 most intense, 2θ from 10° to 90°, in order of falling intensity)
- 2.835 Å, rel. 100.0
- 1.637 Å, rel. 38.8
- 2.005 Å, rel. 32.3
- 2.315 Å, rel. 20.6
- 1.418 Å, rel. 19.2
- 4.010 Å, rel. 16.8
- 1.268 Å, rel. 16.6
- 1.793 Å, rel. 9.0
- 1.209 Å, rel. 6.8
- 1.158 Å, rel. 6.4



7.
Calculated powder X-ray diffraction pattern
Compound: PrEuNbFeO6
Radiation: CuKα
Structure: a PBE+U-relaxed structure
Kinematic intensities with the Lorentz-polarization factor, no thermal factor.

abc: 5.6666 5.6666 5.6666
angles: 60.00 60.00 60.00
Fractional coordinates of all 10 atoms:
Pr1 0.0000 0.0000 0.0000
Eu1 0.5000 0.5000 0.5000
Nb1 0.2500 0.2500 0.2500
Fe1 0.7500 0.7500 0.7500
O1 0.9999 0.9999 0.5001
O2 0.9999 0.5001 0.9999
O3 0.9999 0.5001 0.5001
O4 0.5001 0.9999 0.9999
O5 0.5001 0.9999 0.5001
O6 0.5001 0.5001 0.9999

Peak list (10 most intense, 2θ from 10° to 90°, in order of falling intensity)
- 2.833 Å, rel. 100.0
- 1.636 Å, rel. 39.1
- 2.003 Å, rel. 31.0
- 1.417 Å, rel. 18.6
- 1.267 Å, rel. 16.8
- 2.313 Å, rel. 12.3
- 4.007 Å, rel. 6.9
- 1.157 Å, rel. 6.2
- 1.792 Å, rel. 3.9
- 1.208 Å, rel. 3.9



8.
Calculated powder X-ray diffraction pattern
Compound: EuNbFeSnO6
Radiation: CuKα
Structure: a PBE+U-relaxed structure
Kinematic intensities with the Lorentz-polarization factor, no thermal factor.

abc: 5.6864 5.6864 5.6864
angles: 60.00 60.00 60.00
Fractional coordinates of all 10 atoms:
Eu1 0.0000 0.0000 0.0000
Nb1 0.7500 0.7500 0.7500
Fe1 0.2500 0.2500 0.2500
Sn1 0.5000 0.5000 0.5000
O1 0.9996 0.9996 0.5004
O2 0.9996 0.5004 0.9996
O3 0.9996 0.5004 0.5004
O4 0.5004 0.9996 0.9996
O5 0.5004 0.9996 0.5004
O6 0.5004 0.5004 0.9996

Peak list (10 most intense, 2θ from 10° to 90°, in order of falling intensity)
- 2.843 Å, rel. 100.0
- 1.642 Å, rel. 39.7
- 2.010 Å, rel. 32.0
- 1.422 Å, rel. 19.4
- 1.272 Å, rel. 17.3
- 2.321 Å, rel. 11.5
- 1.161 Å, rel. 6.6
- 4.021 Å, rel. 4.7
- 1.212 Å, rel. 3.8
- 4.643 Å, rel. 3.4



9.
Calculated powder X-ray diffraction pattern
Compound: NdEuFe4O12
Radiation: CuKα
Structure: a PBE+U-relaxed structure
Kinematic intensities with the Lorentz-polarization factor, no thermal factor.

abc: 5.2148 5.2148 7.3717
angles: 90.00 90.00 90.00
Fractional coordinates of all 18 atoms:
Nd1 0.0000 0.0000 0.0000
Eu1 0.5000 0.5000 0.5000
Fe1 0.0000 0.5000 0.2513
Fe2 0.0000 0.5000 0.7487
Fe3 0.5000 0.0000 0.2513
Fe4 0.5000 0.0000 0.7487
O1 0.0000 0.5000 0.0000
O2 0.0000 0.5000 0.5000
O3 0.2491 0.2491 0.2504
O4 0.2491 0.2491 0.7496
O5 0.2491 0.7509 0.2504
O6 0.2491 0.7509 0.7496
O7 0.5000 0.0000 0.0000
O8 0.5000 0.0000 0.5000
O9 0.7509 0.2491 0.2504
O10 0.7509 0.2491 0.7496
O11 0.7509 0.7509 0.2504
O12 0.7509 0.7509 0.7496

Peak list (10 most intense, 2θ from 10° to 90°, in order of falling intensity)
- 2.607 Å, rel. 100.0
- 4.257 Å, rel. 94.4
- 2.223 Å, rel. 51.3
- 1.843 Å, rel. 40.4
- 1.505 Å, rel. 36.9
- 1.304 Å, rel. 22.6
- 1.692 Å, rel. 22.0
- 1.419 Å, rel. 16.4
- 1.166 Å, rel. 16.0
- 1.246 Å, rel. 16.0



10.
Calculated powder X-ray diffraction pattern
Compound: EuFeO3
Radiation: CuKα
Structure: a PBE+U-relaxed structure
Kinematic intensities with the Lorentz-polarization factor, no thermal factor.

abc: 3.8653 3.8653 3.8653
angles: 90.00 90.00 90.00
Fractional coordinates of all 5 atoms:
Eu1 0.0000 0.0000 0.0000
Fe1 0.5000 0.5000 0.5000
O1 0.0000 0.5000 0.5000
O2 0.5000 0.0000 0.5000
O3 0.5000 0.5000 0.0000

Peak list (10 most intense, 2θ from 10° to 90°, in order of falling intensity)
- 2.733 Å, rel. 100.0
- 1.578 Å, rel. 37.9
- 1.933 Å, rel. 31.1
- 2.232 Å, rel. 19.9
- 1.367 Å, rel. 18.4
- 3.865 Å, rel. 17.1
- 1.222 Å, rel. 16.4
- 1.729 Å, rel. 9.0
- 1.165 Å, rel. 6.7
- 1.116 Å, rel. 6.3